# 1
Theoretical X-ray diffraction stick pattern
Compound: MgAgPdF5
Radiation: Cu Kα (λ = 1.5418 Å)
Structure: the GGA-PBE geometry in Alexandria
Kinematic intensities with the Lorentz-polarization factor, no thermal factor.

Main lines, by angle (2θ = 10–80°):
- 2θ 17.55, I = 20, hkl 1 1 0
- 2θ 23.92, I = 40, hkl 0 0 2
- 2θ 26.41, I = 36, hkl 1 1 -2
- 2θ 30.25, I = 100, hkl 2 0 0
- 2θ 31.41, I = 41, hkl 1 3 0
- 2θ 33.49, I = 36, hkl 2 0 -2
- 2θ 37.28, I = 27, hkl 1 3 -2
- 2θ 42.30, I = 36, hkl 1 3 2

Structure:
a b c (Å): 6.115 9.754 7.705
angles (deg): 90.00 105.03 90.00
Space group C2/c (No. 15)
Asymmetric unit:
Mg  0.000  0.000  0.000 x4
Ag  0.000  0.293  0.250 x4
Pd  0.000  0.347  0.750 x4
F  0.000  0.054  0.250 x4
F  0.040  0.199  0.942 x8
F  0.152  0.497  0.414 x8

# 2
Theoretical X-ray diffraction stick pattern
Compound: Tb2SmSn2
Radiation: Cu Kα (λ = 1.5418 Å)
Structure: the GGA-PBE geometry in Alexandria
Kinematic intensities with the Lorentz-polarization factor, no thermal factor.

Main lines, by angle (2θ = 10–80°):
- 2θ 26.50, I = 50, hkl 1 3 1
- 2θ 30.25, I = 59, hkl 1 5 0
- 2θ 33.53, I = 100, hkl 2 2 1
- 2θ 34.93, I = 30, hkl 2 4 0
- 2θ 35.44, I = 27, hkl 1 1 2
- 2θ 36.34, I = 32, hkl 0 6 1
- 2θ 56.09, I = 27, hkl 4 0 0
- 2θ 62.72, I = 28, hkl 2 8 2

Structure:
a b c (Å): 6.554 16.553 5.569
angles (deg): 90.00 90.00 90.00
Space group Cmcm (No. 63)
Asymmetric unit:
Tb  0.000  0.077  0.250 x4
Tb  0.000  0.299  0.750 x4
Sm  0.000  0.500  0.000 x4
Sn  0.236  0.137  0.750 x8

# 3
Theoretical X-ray diffraction stick pattern
Compound: Sc6SbSe3
Radiation: Cu Kα (λ = 1.5418 Å)
Structure: the GGA-PBE geometry in Alexandria
Kinematic intensities with the Lorentz-polarization factor, no thermal factor.

Main lines, by angle (2θ = 10–80°):
- 2θ 23.91, I = 53, hkl 3 0 -1
- 2θ 32.56, I = 100, hkl 2 1 1
- 2θ 33.44, I = 60, hkl 3 1 -1
- 2θ 34.90, I = 47, hkl 0 1 3
- 2θ 35.33, I = 88, hkl 3 1 0
- 2θ 38.86, I = 62, hkl 1 1 3
- 2θ 40.81, I = 70, hkl 3 1 -4
- 2θ 47.08, I = 72, hkl 0 2 0

Structure:
a b c (Å): 11.249 3.861 11.489
angles (deg): 90.00 115.91 90.00
Space group P2_1/m (No. 11)
Asymmetric unit:
Sc  0.048  0.250  0.410 x2
Sc  0.138  0.250  0.992 x2
Sc  0.216  0.750  0.249 x2
Sc  0.297  0.750  0.730 x2
Sc  0.403  0.250  0.535 x2
Sc  0.430  0.750  0.087 x2
Sb  0.421  0.250  0.275 x2
Se  0.025  0.250  0.162 x2
Se  0.223  0.750  0.478 x2
Se  0.326  0.250  0.904 x2

# 4
Theoretical X-ray diffraction stick pattern
Compound: Co2ReSi
Radiation: Cu Kα (λ = 1.5418 Å)
Structure: the GGA-PBE geometry in Alexandria
Kinematic intensities with the Lorentz-polarization factor, no thermal factor.

Main lines, by angle (2θ = 10–80°):
- 2θ 18.54, I = 41, hkl 0 0 2
- 2θ 23.36, I = 42, hkl 1 0 0
- 2θ 29.99, I = 35, hkl 1 0 2
- 2θ 42.65, I = 100, hkl 1 1 1
- 2θ 44.47, I = 48, hkl 0 1 3
- 2θ 44.74, I = 72, hkl 1 0 4
- 2θ 47.77, I = 30, hkl 2 0 0
- 2θ 67.31, I = 27, hkl 2 1 3

Structure:
a b c (Å): 3.808 2.648 9.569
angles (deg): 90.00 90.00 90.00
Space group Amm2 (No. 38)
Asymmetric unit:
Co  0.000  0.000  0.000 x2
Co  0.500  0.000  0.382 x2
Re  0.500  0.000  0.635 x2
Si  0.000  0.000  0.260 x2